This entry pairs a crystal structure of Sr3Cu2As3 with its computed XRD peak list. Radiation: λ = 1.5418 Å (Cu Kα). Structure: DFT lattice parameters and positions (GGA-PBE).
Lines closer than 0.1° are merged.

Crystal structure
a = 6.148 Å, b = 6.148 Å, c = 16.413 Å
α = 90.00°, β = 90.00°, γ = 139.66°
Atoms (fractional coordinates):
1 Sr 0.091 0.909 0.750
2 Sr 0.382 0.618 0.587
3 Sr 0.382 0.618 0.913
4 Sr 0.618 0.382 0.087
5 Sr 0.618 0.382 0.413
6 Sr 0.909 0.091 0.250
7 Cu 0.323 0.677 0.123
8 Cu 0.323 0.677 0.377
9 Cu 0.677 0.323 0.623
10 Cu 0.677 0.323 0.877
11 As 0.109 0.891 0.566
12 As 0.109 0.891 0.934
13 As 0.200 0.800 0.250
14 As 0.800 0.200 0.750
15 As 0.891 0.109 0.066
16 As 0.891 0.109 0.434

Peak list (10 most intense, 2θ = 15–90°, most intense first)
d = 2.807 Å, 2θ 31.88, intensity 100.0
d = 2.856 Å, 2θ 31.32, intensity 74.8
d = 2.736 Å, 2θ 32.74, intensity 66.8
d = 2.530 Å, 2θ 35.48, intensity 57.6
d = 2.120 Å, 2θ 42.64, intensity 57.4
d = 2.340 Å, 2θ 38.46, intensity 55.0
d = 2.886 Å, 2θ 30.99, intensity 52.3
d = 2.152 Å, 2θ 41.99, intensity 49.5
d = 3.219 Å, 2θ 27.72, intensity 39.8
d = 1.676 Å, 2θ 54.78, intensity 30.1